The following is a computed powder diffractogram of Tm6Tl3Fe. It was derived from a DFT-relaxed cell (GGA-PBE, Alexandria), using CuKα.
Peak positions follow from Bragg's law for the DFT cell and can differ from measured ones.

Structure:
```
data_Tm6Tl3Fe
_chemical_formula_sum 'Tm12 Tl6 Fe2'
_space_group_name_H-M_alt 'P 1'
_space_group_IT_number 1
_cell_length_a 5.8787
_cell_length_b 8.7600
_cell_length_c 12.0470
_cell_angle_alpha 90.00
_cell_angle_beta 118.88
_cell_angle_gamma 90.00
loop_
_space_group_symop_operation_xyz
'x,y,z'
loop_
_atom_site_label
_atom_site_type_symbol
_atom_site_fract_x
_atom_site_fract_y
_atom_site_fract_z
Tm1 Tm 0.0546 0.1538 0.4396
Tm2 Tm 0.0546 0.3462 0.9396
Tm3 Tm 0.3457 0.7092 0.4328
Tm4 Tm 0.3457 0.7908 0.9328
Tm5 Tm 0.4001 0.0560 0.2784
Tm6 Tm 0.4001 0.4440 0.7784
Tm7 Tm 0.5999 0.5560 0.2216
Tm8 Tm 0.5999 0.9440 0.7216
Tm9 Tm 0.6543 0.2092 0.0672
Tm10 Tm 0.6543 0.2908 0.5672
Tm11 Tm 0.9454 0.6538 0.0604
Tm12 Tm 0.9454 0.8462 0.5604
Tl1 Tl 0.0000 0.0000 0.0000
Tl2 Tl 0.0000 0.5000 0.5000
Tl3 Tl 0.1744 0.1089 0.7665
Tl4 Tl 0.1744 0.3911 0.2665
Tl5 Tl 0.8256 0.6089 0.7335
Tl6 Tl 0.8256 0.8911 0.2335
Fe1 Fe 0.5000 0.0000 0.5000
Fe2 Fe 0.5000 0.5000 0.0000
```

Top 10 peaks for 10° ≤ 2θ ≤ 90°, by angle:
2theta	I/Imax	index
26.78	38	1 2 -2
29.53	38	1 0 2
30.59	78	1 2 -3
31.28	57	1 1 2
31.43	65	1 1 -4
32.66	41	0 2 3
33.27	100	2 1 -3
33.99	34	0 0 4
34.29	87	1 3 -1
35.35	57	1 3 0